Diffraction record for UTl3Br7. The X-ray diffraction stick pattern is simulated, not measured: it uses the GGA-PBE geometry in Alexandria and copper Kα.

Main lines, sorted by position (2θ from 5° to 70°):
| d [Å] | I/Imax |
| --- | --- |
| 4.478 | 88 |
| 4.385 | 94 |
| 2.749 | 34 |
| 2.717 | 100 |
| 2.330 | 50 |
| 2.290 | 28 |

Structural model:
a = 9.3798 Å, b = 9.3798 Å, c = 10.9969 Å
α = 90.00°, β = 90.00°, γ = 110.77°
Element x y z (fractional)
U  0.9997  0.9997  0.0000
U  0.0003  0.0003  0.5000
Tl  0.0048  0.4606  0.2495
Tl  0.4606  0.0048  0.7505
Tl  0.4997  0.4997  0.0000
Tl  0.5003  0.5003  0.5000
Tl  0.5394  0.9952  0.2505
Tl  0.9952  0.5394  0.7495
Br  0.0568  0.9432  0.7500
Br  0.0631  0.3049  0.9622
Br  0.0639  0.3058  0.5370
Br  0.3049  0.0631  0.0378
Br  0.3058  0.0639  0.4630
Br  0.3599  0.6401  0.7500
Br  0.3693  0.6307  0.2500
Br  0.6307  0.3693  0.7500
Br  0.6401  0.3599  0.2500
Br  0.6942  0.9361  0.9630
Br  0.6951  0.9369  0.5378
Br  0.9361  0.6942  0.0370
Br  0.9369  0.6951  0.4622
Br  0.9432  0.0568  0.2500